[1]
The following is a theoretical PXRD pattern of In2Cu2O5. It was derived from a structure optimized by DFT (PBE), using Cu Kα (weighted mean of Kα1 and Kα2).

Most intense lines, 10 to 90 degrees two-theta, in order of falling intensity:
index  2θ/deg  d_spacing  I_rel
2 1 0  32.46  2.758  100
2 0 -5  33.26  2.694  77
0 1 3  34.52  2.598  50
4 0 -2  33.44  2.680  35
4 1 1  48.82  1.865  32
2 0 1  21.87  4.064  32
4 1 0  45.84  1.979  28
2 0 2  27.16  3.284  21
2 1 -1  31.64  2.828  18
6 0 0  56.00  1.642  16

Crystal structure
```
data_In2Cu2O5
_cell_length_a 10.718
_cell_length_b 3.329
_cell_length_c 13.556
_cell_angle_alpha 90.00
_cell_angle_beta 113.14
_cell_angle_gamma 90.00
_space_group_name_H-M_alt 'P 1 2 1'
_space_group_IT_number 3
loop_
_space_group_symop_operation_xyz
'x,y,z'
'-x,y,-z'
loop_
_atom_site_label
_atom_site_type_symbol
_atom_site_fract_x
_atom_site_fract_y
_atom_site_fract_z
In1 In 0.005 0.000 0.335
In2 In 0.171 0.419 0.164
In3 In 0.329 0.506 0.835
In4 In 0.494 0.928 0.665
Cu1 Cu 0.105 0.868 0.946
Cu2 Cu 0.158 0.543 0.553
Cu3 Cu 0.340 0.373 0.447
Cu4 Cu 0.393 0.055 0.053
O1 O 0.000 0.516 0.000
O2 O 0.000 0.912 0.500
O3 O 0.051 0.931 0.193
O4 O 0.142 0.501 0.693
O5 O 0.148 0.496 0.404
O6 O 0.244 0.913 0.095
O7 O 0.253 0.011 0.903
O8 O 0.352 0.430 0.597
O9 O 0.358 0.426 0.307
O10 O 0.451 0.994 0.808
O11 O 0.500 0.022 0.500
O12 O 0.500 0.399 0.000
```



[2]
The following is a theoretical PXRD pattern of K2RbAlBr6. It was derived from a structure optimized by DFT (PBE), using Cu Kα (weighted mean of Kα1 and Kα2).

Most intense lines, 10 to 90 degrees two-theta, in order of falling intensity:
index  2θ/deg  d_spacing  I_rel
4 0 0  31.12  2.874  100
2 2 2  26.87  3.318  86
4 4 0  44.59  2.032  61
2 0 0  15.42  5.748  58
3 3 1  33.99  2.637  33
3 3 3  40.79  2.212  25
6 2 2  52.83  1.733  23
7 3 1  62.01  1.497  22
7 7 3  87.85  1.111  19
4 2 0  34.91  2.570  19

Crystal structure
```
data_K2RbAlBr6
_cell_length_a 11.495
_cell_length_b 11.495
_cell_length_c 11.495
_cell_angle_alpha 90.00
_cell_angle_beta 90.00
_cell_angle_gamma 90.00
_space_group_name_H-M_alt 'F m -3 m'
_space_group_IT_number 225
_space_group_name_Hall '-F 4 2 3'
loop_
_atom_site_label
_atom_site_type_symbol
_atom_site_fract_x
_atom_site_fract_y
_atom_site_fract_z
K1 K 0.250 0.250 0.250
Rb1 Rb 0.000 0.000 0.000
Al1 Al 0.000 0.000 0.500
Br1 Br 0.000 0.000 0.281
```



[3]
The following is a theoretical PXRD pattern of Ba3SnS5. It was derived from a structure optimized by DFT (PBE), using Cu Kα (weighted mean of Kα1 and Kα2).

Most intense lines, 10 to 90 degrees two-theta, in order of falling intensity:
index  2θ/deg  d_spacing  I_rel
2 0 2  24.09  3.694  100
2 1 3  29.72  3.006  72
0 0 4  24.48  3.636  31
2 2 0  29.49  3.029  27
4 0 2  44.06  2.055  22
2 2 4  38.69  2.327  22
2 0 6  42.86  2.110  21
3 1 0  33.07  2.709  20
2 1 5  38.87  2.317  17
4 2 0  47.46  1.916  17

Crystal structure
```
data_Ba3SnS5
_cell_length_a 8.567
_cell_length_b 8.567
_cell_length_c 14.546
_cell_angle_alpha 90.00
_cell_angle_beta 90.00
_cell_angle_gamma 90.00
_space_group_name_H-M_alt 'I 4/m c m'
_space_group_IT_number 140
_space_group_name_Hall '-I 4 2c'
loop_
_atom_site_label
_atom_site_type_symbol
_atom_site_fract_x
_atom_site_fract_y
_atom_site_fract_z
Ba1 Ba 0.000 0.000 0.250
Ba2 Ba 0.164 0.336 0.000
Sn1 Sn 0.000 0.500 0.250
S1 S 0.000 0.000 0.000
S2 S 0.152 0.348 0.353
```